Starting from the PBE geometry in Alexandria, the powder XRD pattern of La2NdY5 was simulated for copper Kα.
Peak positions follow from Bragg's law for the DFT cell and can differ from measured ones.

```
La2NdY5
1.0
2.853 -6.011 0.000
2.853 6.011 0.000
0.000 0.000 16.069
La Nd Y
4 2 10
Direct
0.216 0.784 0.629
0.216 0.784 0.871
0.784 0.216 0.129
0.784 0.216 0.371
0.260 0.740 0.250
0.740 0.260 0.750
0.081 0.919 0.089
0.081 0.919 0.411
0.384 0.616 0.050
0.384 0.616 0.450
0.462 0.538 0.750
0.538 0.462 0.250
0.616 0.384 0.550
0.616 0.384 0.950
0.919 0.081 0.589
0.919 0.081 0.911
```

Principal peaks in the range 10 to 90 degrees two-theta, in order of rising 2θ:
- 14.74 deg, 6.011 Å, intensity 14
- 28.16 deg, 3.169 Å, intensity 30
- 30.25 deg, 2.954 Å, intensity 16
- 31.36 deg, 2.853 Å, intensity 48
- 31.79 deg, 2.815 Å, intensity 18
- 32.00 deg, 2.797 Å, intensity 100
- 32.84 deg, 2.727 Å, intensity 53
- 45.26 deg, 2.004 Å, intensity 18
- 56.23 deg, 1.636 Å, intensity 24
- 56.77 deg, 1.622 Å, intensity 11